Record 1
Computed powder XRD pattern
Compound: Ac3TePtI
Radiation: CuKα
Structure: the PBE geometry in Alexandria
Intensities are scaled so that the largest is 100.

Structural model:
```
data_Ac3TePtI
_chemical_formula_sum 'Ac6 Te2 Pt2 I2'
_symmetry_space_group_name_H-M 'P 1 21/m 1'
_symmetry_Int_Tables_number 11
_cell_length_a 8.850
_cell_length_b 4.257
_cell_length_c 12.201
_cell_angle_alpha 90.00
_cell_angle_beta 108.62
_cell_angle_gamma 90.00
loop_
_symmetry_equiv_pos_as_xyz
'x,y,z'
'-x,-y,-z'
'-x,y+1/2,-z'
'x,-y+1/2,z'
loop_
_atom_site_label
_atom_site_type_symbol
_atom_site_fract_x
_atom_site_fract_y
_atom_site_fract_z
Ac1 Ac 0.027 0.250 0.295
Ac2 Ac 0.220 0.250 0.042
Ac3 Ac 0.339 0.750 0.579
Te1 Te 0.336 0.750 0.283
Pt1 Pt 0.088 0.250 0.568
I1 I 0.363 0.750 0.873
```

Principal peaks in the range 15° ≤ 2θ ≤ 90°, sorted by position:
(1 1 1), 2θ = 25.74°, d 3.462, intensity 24
(1 0 -4), 2θ = 29.29°, d 3.049, intensity 47
(2 1 0), 2θ = 29.91°, d 2.987, intensity 100
(1 1 -3), 2θ = 30.57°, d 2.924, intensity 67
(2 1 -3), 2θ = 33.51°, d 2.674, intensity 34
(3 1 -1), 2θ = 37.16°, d 2.419, intensity 35
(1 1 4), 2θ = 41.94°, d 2.154, intensity 49
(0 2 0), 2θ = 42.47°, d 2.129, intensity 38


Record 2
Computed powder XRD pattern
Compound: Rb4AcI6
Radiation: CuKα
Structure: the PBE geometry in Alexandria
Intensities are scaled so that the largest is 100.

Structural model:
```
data_Rb4AcI6
_chemical_formula_sum 'Rb8 Ac2 I12'
_symmetry_space_group_name_H-M 'P 4/m n c'
_symmetry_Int_Tables_number 128
_symmetry_space_group_name_Hall '-P 4 2n'
_cell_length_a 10.189
_cell_length_b 10.189
_cell_length_c 10.814
_cell_angle_alpha 90.00
_cell_angle_beta 90.00
_cell_angle_gamma 90.00
loop_
_atom_site_label
_atom_site_type_symbol
_atom_site_fract_x
_atom_site_fract_y
_atom_site_fract_z
Rb1 Rb 0.171 0.329 0.250
Ac1 Ac 0.000 0.000 0.000
I1 I 0.000 0.000 0.304
I2 I 0.103 0.688 0.000
```

Principal peaks in the range 15° ≤ 2θ ≤ 90°, sorted by position:
(2 1 2), 2θ = 25.56°, d 3.484, intensity 100
(1 0 3), 2θ = 26.22°, d 3.398, intensity 39
(3 1 0), 2θ = 27.69°, d 3.222, intensity 86
(0 0 4), 2θ = 33.13°, d 2.704, intensity 23
(3 0 3), 2θ = 36.34°, d 2.472, intensity 22
(3 2 3), 2θ = 40.56°, d 2.224, intensity 27
(3 1 4), 2θ = 43.71°, d 2.071, intensity 30
(2 1 6), 2θ = 54.78°, d 1.676, intensity 22


Record 3
Computed powder XRD pattern
Compound: Rb2AcI6
Radiation: CuKα
Structure: the PBE geometry in Alexandria
Intensities are scaled so that the largest is 100.

Structural model:
```
data_Rb2AcI6
_chemical_formula_sum 'Rb4 Ac2 I12'
_symmetry_space_group_name_H-M 'A m m 2'
_symmetry_Int_Tables_number 38
_cell_length_a 5.115
_cell_length_b 16.740
_cell_length_c 9.520
_cell_angle_alpha 90.00
_cell_angle_beta 90.00
_cell_angle_gamma 90.00
loop_
_symmetry_equiv_pos_as_xyz
'x,y,z'
'-x,-y,z'
'-x,y,z'
'x,-y,z'
'x,y+1/2,z+1/2'
'-x,-y+1/2,z+1/2'
'-x,y+1/2,z+1/2'
'x,-y+1/2,z+1/2'
loop_
_atom_site_label
_atom_site_type_symbol
_atom_site_fract_x
_atom_site_fract_y
_atom_site_fract_z
Rb1 Rb 0.000 0.169 0.000
Ac1 Ac 0.500 0.000 0.506
I1 I 0.000 0.000 0.748
I2 I 0.000 0.119 0.382
I3 I 0.500 0.000 0.143
I4 I 0.500 0.182 0.682
```

Principal peaks in the range 15° ≤ 2θ ≤ 90°, sorted by position:
(1 3 1), 2θ = 25.41°, d 3.506, intensity 100
(1 0 2), 2θ = 25.56°, d 3.484, intensity 57
(1 2 2), 2θ = 27.73°, d 3.217, intensity 72
(0 3 3), 2θ = 32.46°, d 2.758, intensity 62
(1 5 1), 2θ = 33.34°, d 2.687, intensity 43
(1 1 3), 2θ = 33.67°, d 2.662, intensity 38
(2 0 0), 2θ = 35.09°, d 2.557, intensity 48
(2 3 3), 2θ = 48.54°, d 1.875, intensity 40


Record 4
Computed powder XRD pattern
Compound: Ac2RhI2
Radiation: CuKα
Structure: the PBE geometry in Alexandria
Intensities are scaled so that the largest is 100.

Structural model:
```
data_Ac2RhI2
_chemical_formula_sum 'Ac6 Rh3 I6'
_symmetry_space_group_name_H-M 'R -3 m'
_symmetry_Int_Tables_number 166
_symmetry_space_group_name_Hall '-R 3 2"'
_cell_length_a 4.3944
_cell_length_b 4.3944
_cell_length_c 36.0140
_cell_angle_alpha 90.00
_cell_angle_beta 90.00
_cell_angle_gamma 120.00
loop_
_atom_site_label
_atom_site_type_symbol
_atom_site_fract_x
_atom_site_fract_y
_atom_site_fract_z
Ac1 Ac 0.0000 0.0000 0.1195
Rh1 Rh 0.0000 0.0000 0.5000
I1 I 0.0000 0.0000 0.3879
```

Principal peaks in the range 15° ≤ 2θ ≤ 90°, sorted by position:
(1 0 4), 2θ = 25.41°, d 3.505, intensity 98
(0 1 8), 2θ = 30.76°, d 2.906, intensity 100
(1 0 10), 2θ = 34.28°, d 2.616, intensity 27
(1 1 0), 2θ = 41.08°, d 2.197, intensity 55
(1 0 16), 2θ = 46.90°, d 1.937, intensity 18
(2 0 8), 2θ = 52.19°, d 1.753, intensity 23
(1 1 18), 2θ = 62.82°, d 1.479, intensity 18
(1 2 8), 2θ = 68.48°, d 1.370, intensity 20


Record 5
Computed powder XRD pattern
Compound: Ac4RuRhI2
Radiation: CuKα
Structure: the PBE geometry in Alexandria
Intensities are scaled so that the largest is 100.

Structural model:
```
data_Ac4RuRhI2
_chemical_formula_sum 'Ac4 Ru1 Rh1 I2'
_symmetry_space_group_name_H-M 'P 1 2/m 1'
_symmetry_Int_Tables_number 10
_cell_length_a 7.535
_cell_length_b 4.361
_cell_length_c 9.036
_cell_angle_alpha 90.00
_cell_angle_beta 106.23
_cell_angle_gamma 90.00
loop_
_symmetry_equiv_pos_as_xyz
'x,y,z'
'-x,-y,-z'
'-x,y,-z'
'x,-y,z'
loop_
_atom_site_label
_atom_site_type_symbol
_atom_site_fract_x
_atom_site_fract_y
_atom_site_fract_z
Ac1 Ac 0.224 0.000 0.185
Ac2 Ac 0.267 0.500 0.816
Ru1 Ru 0.000 0.500 0.000
Rh1 Rh 0.500 0.000 0.000
I1 I 0.000 0.000 0.500
I2 I 0.500 0.500 0.500
```

Principal peaks in the range 15° ≤ 2θ ≤ 90°, sorted by position:
(2 0 0), 2θ = 24.57°, d 3.623, intensity 13
(1 1 1), 2θ = 27.33°, d 3.263, intensity 100
(1 1 -2), 2θ = 29.24°, d 3.055, intensity 21
(0 0 3), 2θ = 30.92°, d 2.892, intensity 13
(2 0 -3), 2θ = 33.85°, d 2.648, intensity 18
(2 0 2), 2θ = 36.47°, d 2.464, intensity 24
(0 2 0), 2θ = 41.46°, d 2.178, intensity 40
(2 2 -2), 2θ = 50.33°, d 1.813, intensity 13


Record 6
Computed powder XRD pattern
Compound: Ac2TmRh2I2
Radiation: CuKα
Structure: the PBE geometry in Alexandria
Intensities are scaled so that the largest is 100.

Structural model:
```
data_Ac2TmRh2I2
_chemical_formula_sum 'Ac4 Tm2 Rh4 I4'
_symmetry_space_group_name_H-M 'I 4/m m m'
_symmetry_Int_Tables_number 139
_symmetry_space_group_name_Hall '-I 4 2'
_cell_length_a 5.116
_cell_length_b 5.116
_cell_length_c 17.675
_cell_angle_alpha 90.00
_cell_angle_beta 90.00
_cell_angle_gamma 90.00
loop_
_atom_site_label
_atom_site_type_symbol
_atom_site_fract_x
_atom_site_fract_y
_atom_site_fract_z
Ac1 Ac 0.000 0.000 0.107
Tm1 Tm 0.000 0.000 0.500
Rh1 Rh 0.000 0.500 0.000
I1 I 0.000 0.000 0.310
```

Principal peaks in the range 15° ≤ 2θ ≤ 90°, sorted by position:
(1 1 0), 2θ = 24.61°, d 3.617, intensity 52
(1 0 5), 2θ = 30.74°, d 2.908, intensity 100
(1 1 4), 2θ = 31.97°, d 2.799, intensity 24
(2 0 0), 2θ = 35.08°, d 2.558, intensity 58
(2 1 5), 2θ = 47.33°, d 1.921, intensity 61
(2 2 0), 2θ = 50.46°, d 1.809, intensity 21
(2 0 10), 2θ = 64.03°, d 1.454, intensity 17
(3 2 5), 2θ = 71.67°, d 1.317, intensity 18


Record 7
Computed powder XRD pattern
Compound: Ac2YRh2I2
Radiation: CuKα
Structure: the PBE geometry in Alexandria
Intensities are scaled so that the largest is 100.

Structural model:
```
data_Ac2YRh2I2
_chemical_formula_sum 'Ac4 Y2 Rh4 I4'
_symmetry_space_group_name_H-M 'I 4/m m m'
_symmetry_Int_Tables_number 139
_symmetry_space_group_name_Hall '-I 4 2'
_cell_length_a 5.173
_cell_length_b 5.173
_cell_length_c 17.597
_cell_angle_alpha 90.00
_cell_angle_beta 90.00
_cell_angle_gamma 90.00
loop_
_atom_site_label
_atom_site_type_symbol
_atom_site_fract_x
_atom_site_fract_y
_atom_site_fract_z
Ac1 Ac 0.000 0.000 0.107
Y1 Y 0.000 0.000 0.500
Rh1 Rh 0.000 0.500 0.000
I1 I 0.000 0.000 0.310
```

Principal peaks in the range 15° ≤ 2θ ≤ 90°, sorted by position:
(1 1 0), 2θ = 24.33°, d 3.658, intensity 50
(1 0 5), 2θ = 30.73°, d 2.910, intensity 100
(1 1 4), 2θ = 31.82°, d 2.813, intensity 40
(2 0 0), 2θ = 34.68°, d 2.587, intensity 62
(2 1 5), 2θ = 47.00°, d 1.933, intensity 62
(2 2 0), 2θ = 49.86°, d 1.829, intensity 30
(2 0 10), 2θ = 63.99°, d 1.455, intensity 17
(3 2 5), 2θ = 70.94°, d 1.329, intensity 18


Record 8
Computed powder XRD pattern
Compound: Ac4Ru2I5
Radiation: CuKα
Structure: the PBE geometry in Alexandria
Intensities are scaled so that the largest is 100.

Structural model:
```
data_Ac4Ru2I5
_chemical_formula_sum 'Ac8 Ru4 I10'
_symmetry_space_group_name_H-M 'I m m m'
_symmetry_Int_Tables_number 71
_symmetry_space_group_name_Hall '-I 2 2'
_cell_length_a 4.503
_cell_length_b 9.302
_cell_length_c 20.470
_cell_angle_alpha 90.00
_cell_angle_beta 90.00
_cell_angle_gamma 90.00
loop_
_atom_site_label
_atom_site_type_symbol
_atom_site_fract_x
_atom_site_fract_y
_atom_site_fract_z
Ac1 Ac 0.000 0.000 0.177
Ac2 Ac 0.000 0.293 0.500
Ru1 Ru 0.000 0.000 0.059
I1 I 0.000 0.217 0.329
I2 I 0.000 0.500 0.000
```

Principal peaks in the range 15° ≤ 2θ ≤ 90°, sorted by position:
(1 1 0), 2θ = 21.93°, d 4.053, intensity 19
(1 1 2), 2θ = 23.61°, d 3.768, intensity 22
(0 0 6), 2θ = 26.12°, d 3.412, intensity 43
(1 2 1), 2θ = 27.92°, d 3.196, intensity 100
(0 3 3), 2θ = 31.70°, d 2.823, intensity 34
(1 2 5), 2θ = 35.36°, d 2.538, intensity 48
(2 0 0), 2θ = 40.04°, d 2.252, intensity 23
(1 1 8), 2θ = 41.75°, d 2.164, intensity 22


Record 9
Computed powder XRD pattern
Compound: Ac4RuI3
Radiation: CuKα
Structure: the PBE geometry in Alexandria
Intensities are scaled so that the largest is 100.

Structural model:
```
data_Ac4RuI3
_chemical_formula_sum 'Ac8 Ru2 I6'
_symmetry_space_group_name_H-M 'P m m n'
_symmetry_Int_Tables_number 59
_cell_length_a 6.013
_cell_length_b 12.243
_cell_length_c 8.875
_cell_angle_alpha 90.00
_cell_angle_beta 90.00
_cell_angle_gamma 90.00
loop_
_symmetry_equiv_pos_as_xyz
'x,y,z'
'-x,-y,-z'
'-x+1/2,-y+1/2,z'
'x+1/2,y+1/2,-z'
'x+1/2,-y,-z'
'-x+1/2,y,z'
'-x,y+1/2,-z'
'x,-y+1/2,z'
loop_
_atom_site_label
_atom_site_type_symbol
_atom_site_fract_x
_atom_site_fract_y
_atom_site_fract_z
Ac1 Ac 0.250 0.018 0.193
Ac2 Ac 0.250 0.250 0.864
Ac3 Ac 0.250 0.750 0.781
Ru1 Ru 0.250 0.250 0.177
I1 I 0.250 0.019 0.625
I2 I 0.250 0.750 0.369
```

Principal peaks in the range 15° ≤ 2θ ≤ 90°, sorted by position:
(1 1 1), 2θ = 19.25°, d 4.611, intensity 19
(0 0 2), 2θ = 20.01°, d 4.437, intensity 33
(1 2 1), 2θ = 23.03°, d 3.862, intensity 41
(1 2 2), 2θ = 28.95°, d 3.084, intensity 100
(0 4 0), 2θ = 29.18°, d 3.061, intensity 54
(2 0 0), 2θ = 29.72°, d 3.007, intensity 58
(2 4 0), 2θ = 42.13°, d 2.145, intensity 43
(3 2 2), 2θ = 52.26°, d 1.750, intensity 20


Record 10
Computed powder XRD pattern
Compound: Ac2RuI2
Radiation: CuKα
Structure: the PBE geometry in Alexandria
Intensities are scaled so that the largest is 100.

Structural model:
```
data_Ac2RuI2
_chemical_formula_sum 'Ac6 Ru3 I6'
_symmetry_space_group_name_H-M 'R -3 m'
_symmetry_Int_Tables_number 166
_symmetry_space_group_name_Hall '-R 3 2"'
_cell_length_a 4.3888
_cell_length_b 4.3888
_cell_length_c 35.8383
_cell_angle_alpha 90.00
_cell_angle_beta 90.00
_cell_angle_gamma 120.00
loop_
_atom_site_label
_atom_site_type_symbol
_atom_site_fract_x
_atom_site_fract_y
_atom_site_fract_z
Ac1 Ac 0.0000 0.0000 0.1199
Ru1 Ru 0.0000 0.0000 0.5000
I1 I 0.0000 0.0000 0.3888
```

Principal peaks in the range 15° ≤ 2θ ≤ 90°, sorted by position:
(1 0 4), 2θ = 25.46°, d 3.499, intensity 100
(0 1 8), 2θ = 30.85°, d 2.898, intensity 99
(1 0 10), 2θ = 34.39°, d 2.607, intensity 27
(1 1 0), 2θ = 41.14°, d 2.194, intensity 55
(0 2 4), 2θ = 49.00°, d 1.859, intensity 17
(2 0 8), 2θ = 52.29°, d 1.750, intensity 23
(1 1 18), 2θ = 63.04°, d 1.475, intensity 17
(1 2 8), 2θ = 68.60°, d 1.368, intensity 20


Record 11
Computed powder XRD pattern
Compound: Ac7SbI12
Radiation: CuKα
Structure: the PBE geometry in Alexandria
Intensities are scaled so that the largest is 100.

Structural model:
```
data_Ac7SbI12
_chemical_formula_sum 'Ac21 Sb3 I36'
_symmetry_space_group_name_H-M 'R -3'
_symmetry_Int_Tables_number 148
_symmetry_space_group_name_Hall '-R 3'
_cell_length_a 17.1231
_cell_length_b 17.1231
_cell_length_c 11.1169
_cell_angle_alpha 90.00
_cell_angle_beta 90.00
_cell_angle_gamma 120.00
loop_
_atom_site_label
_atom_site_type_symbol
_atom_site_fract_x
_atom_site_fract_y
_atom_site_fract_z
Ac1 Ac 0.0000 0.0000 0.0000
Ac2 Ac 0.0476 0.8787 0.3364
Sb1 Sb 0.0000 0.0000 0.5000
I1 I 0.0248 0.4366 0.1668
I2 I 0.0520 0.8652 0.8439
```

Principal peaks in the range 15° ≤ 2θ ≤ 90°, sorted by position:
(4 -1 2), 2θ = 26.97°, d 3.306, intensity 100
(5 2 0), 2θ = 37.89°, d 2.375, intensity 39
(1 3 4), 2θ = 39.12°, d 2.303, intensity 37
(2 6 2), 2θ = 47.12°, d 1.929, intensity 21
(8 -2 4), 2θ = 55.60°, d 1.653, intensity 13
(9 1 2), 2θ = 61.99°, d 1.497, intensity 18
(5 2 6), 2θ = 63.71°, d 1.461, intensity 17
(6 5 4), 2θ = 69.25°, d 1.357, intensity 12


Record 12
Computed powder XRD pattern
Compound: Ac3SbI3
Radiation: CuKα
Structure: the PBE geometry in Alexandria
Intensities are scaled so that the largest is 100.

Structural model:
```
data_Ac3SbI3
_chemical_formula_sum 'Ac24 Sb8 I24'
_symmetry_space_group_name_H-M 'I 41 3 2'
_symmetry_Int_Tables_number 214
_symmetry_space_group_name_Hall 'I 4bd 2c 3'
_cell_length_a 13.382
_cell_length_b 13.382
_cell_length_c 13.382
_cell_angle_alpha 90.00
_cell_angle_beta 90.00
_cell_angle_gamma 90.00
loop_
_atom_site_label
_atom_site_type_symbol
_atom_site_fract_x
_atom_site_fract_y
_atom_site_fract_z
Ac1 Ac 0.115 0.365 0.125
Sb1 Sb 0.125 0.125 0.125
I1 I 0.118 0.132 0.625
```

Principal peaks in the range 15° ≤ 2θ ≤ 90°, sorted by position:
(3 2 1), 2θ = 24.90°, d 3.576, intensity 16
(4 0 0), 2θ = 26.65°, d 3.345, intensity 100
(4 4 0), 2θ = 38.04°, d 2.366, intensity 76
(4 4 4), 2θ = 47.05°, d 1.931, intensity 27
(8 0 0), 2θ = 54.89°, d 1.673, intensity 13
(8 4 0), 2θ = 62.03°, d 1.496, intensity 34
(8 4 4), 2θ = 68.73°, d 1.366, intensity 24
(8 8 4), 2θ = 87.47°, d 1.115, intensity 15